Theoretical PXRD pattern
Compound: RbPbSO4
Radiation: Cu Kα (λ = 1.5418 Å)
Structure: the GGA-PBE geometry in Alexandria

```
data_RbPbSO4
_chemical_formula_sum 'Rb2 Pb2 S2 O8'
_cell_length_a 4.9115
_cell_length_b 5.8041
_cell_length_c 10.6970
_cell_angle_alpha 90.00
_cell_angle_beta 94.57
_cell_angle_gamma 90.00
_symmetry_space_group_name_H-M 'P 1 21/m 1'
_symmetry_Int_Tables_number 11
loop_
_symmetry_equiv_pos_as_xyz
'x,y,z'
'-x,-y,-z'
'-x,y+1/2,-z'
'x,-y+1/2,z'
loop_
_atom_site_label
_atom_site_type_symbol
_atom_site_fract_x
_atom_site_fract_y
_atom_site_fract_z
_atom_site_occupancy
Rb1 Rb 0.1988 0.2500 0.3846 1
Pb1 Pb 0.1103 0.7500 0.0540 1
S1 S 0.3942 0.2500 0.7144 1
O1 O 0.2949 0.0393 0.6484 1
O2 O 0.2953 0.7500 0.2745 1
O3 O 0.3162 0.2500 0.8496 1
```

Largest 10 diffraction maxima, low angle first, 10 to 80 degrees two-theta:
- 19.34 deg, I = 61.5
- 22.65 deg, I = 100.0
- 24.73 deg, I = 70.4
- 25.05 deg, I = 39.7
- 25.70 deg, I = 73.3
- 30.00 deg, I = 68.2
- 30.81 deg, I = 61.7
- 35.93 deg, I = 37.2
- 36.64 deg, I = 40.2
- 37.08 deg, I = 67.6



Theoretical PXRD pattern
Compound: Nd8Sm5Cd
Radiation: Cu Kα (λ = 1.5418 Å)
Structure: the GGA-PBE geometry in Alexandria

```
data_Nd8Sm5Cd
_chemical_formula_sum 'Nd16 Sm10 Cd2'
_cell_length_a 10.6863
_cell_length_b 10.8964
_cell_length_c 8.4660
_cell_angle_alpha 90.00
_cell_angle_beta 90.00
_cell_angle_gamma 90.00
_symmetry_space_group_name_H-M 'I m m 2'
_symmetry_Int_Tables_number 44
loop_
_symmetry_equiv_pos_as_xyz
'x,y,z'
'-x,-y,z'
'-x,y,z'
'x,-y,z'
'x+1/2,y+1/2,z+1/2'
'-x+1/2,-y+1/2,z+1/2'
'-x+1/2,y+1/2,z+1/2'
'x+1/2,-y+1/2,z+1/2'
loop_
_atom_site_label
_atom_site_type_symbol
_atom_site_fract_x
_atom_site_fract_y
_atom_site_fract_z
_atom_site_occupancy
Nd1 Nd 0.0000 0.1599 0.0000 1
Nd2 Nd 0.1614 0.0000 0.3484 1
Nd3 Nd 0.1900 0.2248 0.6722 1
Sm1 Sm 0.0000 0.3146 0.3158 1
Sm2 Sm 0.0000 0.5000 0.8714 1
Sm3 Sm 0.1988 0.5000 0.4959 1
Cd1 Cd 0.0000 0.0000 0.6785 1
```

Largest 10 diffraction maxima, low angle first, 10 to 80 degrees two-theta:
- 26.69 deg, I = 79.8
- 27.16 deg, I = 52.8
- 31.59 deg, I = 100.0
- 31.82 deg, I = 98.7
- 32.82 deg, I = 85.3
- 33.57 deg, I = 42.2
- 33.90 deg, I = 39.9
- 49.23 deg, I = 20.6
- 53.84 deg, I = 21.1
- 56.60 deg, I = 19.1



Theoretical PXRD pattern
Compound: KInSnBr6
Radiation: Cu Kα (λ = 1.5418 Å)
Structure: the GGA-PBE geometry in Alexandria

```
data_KInSnBr6
_chemical_formula_sum 'K2 In2 Sn2 Br12'
_cell_length_a 7.4875
_cell_length_b 7.4875
_cell_length_c 14.2064
_cell_angle_alpha 90.00
_cell_angle_beta 90.00
_cell_angle_gamma 120.00
_symmetry_space_group_name_H-M 'P -3 1 c'
_symmetry_Int_Tables_number 163
_symmetry_space_group_name_Hall '-P 3 2c'
loop_
_atom_site_label
_atom_site_type_symbol
_atom_site_fract_x
_atom_site_fract_y
_atom_site_fract_z
_atom_site_occupancy
K1 K 0.0000 0.0000 0.0000 1
In1 In 0.3333 0.6667 0.2500 1
Sn1 Sn 0.3333 0.6667 0.7500 1
Br1 Br 0.0288 0.3817 0.1373 1
```

Largest 10 diffraction maxima, low angle first, 10 to 80 degrees two-theta:
- 12.46 deg, I = 40.1
- 13.66 deg, I = 24.3
- 18.53 deg, I = 39.4
- 26.92 deg, I = 100.0
- 34.82 deg, I = 73.0
- 38.87 deg, I = 18.1
- 41.79 deg, I = 37.7
- 45.32 deg, I = 28.6
- 55.49 deg, I = 15.6
- 68.37 deg, I = 18.6



Theoretical PXRD pattern
Compound: SrMgFeH6
Radiation: Cu Kα (λ = 1.5418 Å)
Structure: the GGA-PBE geometry in Alexandria

```
data_SrMgFeH6
_chemical_formula_sum 'Sr1 Mg1 Fe1 H6'
_cell_length_a 4.6982
_cell_length_b 4.6982
_cell_length_c 4.8802
_cell_angle_alpha 90.00
_cell_angle_beta 90.00
_cell_angle_gamma 120.00
_symmetry_space_group_name_H-M 'P 3 1 2'
_symmetry_Int_Tables_number 149
loop_
_symmetry_equiv_pos_as_xyz
'x,y,z'
'-y,x-y,z'
'-x+y,-x,z'
'-y,-x,-z'
'-x+y,y,-z'
'x,x-y,-z'
loop_
_atom_site_label
_atom_site_type_symbol
_atom_site_fract_x
_atom_site_fract_y
_atom_site_fract_z
_atom_site_occupancy
Sr1 Sr 0.0000 0.0000 0.0000 1
Mg1 Mg 0.3333 0.6667 0.5000 1
Fe1 Fe 0.6667 0.3333 0.5000 1
H1 H 0.4284 0.0568 0.7104 1
```

Largest 10 diffraction maxima, low angle first, 10 to 80 degrees two-theta:
- 21.84 deg, I = 15.0
- 28.56 deg, I = 100.0
- 36.83 deg, I = 12.7
- 38.32 deg, I = 35.9
- 48.48 deg, I = 21.8
- 54.20 deg, I = 26.5
- 61.38 deg, I = 10.5
- 63.42 deg, I = 19.2
- 69.28 deg, I = 6.1
- 74.71 deg, I = 6.0



Theoretical PXRD pattern
Compound: TaGeRuRh
Radiation: Cu Kα (λ = 1.5418 Å)
Structure: the GGA-PBE geometry in Alexandria

```
data_TaGeRuRh
_chemical_formula_sum 'Ta2 Ge2 Ru2 Rh2'
_cell_length_a 4.0427
_cell_length_b 4.0427
_cell_length_c 7.3707
_cell_angle_alpha 90.00
_cell_angle_beta 90.00
_cell_angle_gamma 90.00
_symmetry_space_group_name_H-M 'I -4 m 2'
_symmetry_Int_Tables_number 119
_symmetry_space_group_name_Hall 'I -4 -2'
loop_
_atom_site_label
_atom_site_type_symbol
_atom_site_fract_x
_atom_site_fract_y
_atom_site_fract_z
_atom_site_occupancy
Ta1 Ta 0.0000 0.0000 0.0000 1
Ge1 Ge 0.0000 0.0000 0.5000 1
Ru1 Ru 0.0000 0.5000 0.7500 1
Rh1 Rh 0.0000 0.5000 0.2500 1
```

Largest 10 diffraction maxima, low angle first, 10 to 80 degrees two-theta:
- 25.12 deg, I = 16.4
- 39.91 deg, I = 100.0
- 43.08 deg, I = 4.1
- 44.84 deg, I = 35.8
- 49.46 deg, I = 13.4
- 52.09 deg, I = 4.8
- 63.93 deg, I = 2.6
- 65.28 deg, I = 11.6
- 68.96 deg, I = 19.6
- 79.33 deg, I = 26.5



Theoretical PXRD pattern
Compound: Na2CaH6Ir
Radiation: Cu Kα (λ = 1.5418 Å)
Structure: the GGA-PBE geometry in Alexandria

```
data_Na2CaH6Ir
_chemical_formula_sum 'Na2 Ca1 H6 Ir1'
_cell_length_a 5.2119
_cell_length_b 5.2119
_cell_length_c 5.9684
_cell_angle_alpha 90.00
_cell_angle_beta 90.00
_cell_angle_gamma 120.00
_symmetry_space_group_name_H-M 'P -3 m 1'
_symmetry_Int_Tables_number 164
_symmetry_space_group_name_Hall '-P 3 2"'
loop_
_atom_site_label
_atom_site_type_symbol
_atom_site_fract_x
_atom_site_fract_y
_atom_site_fract_z
_atom_site_occupancy
Na1 Na 0.3333 0.6667 0.3823 1
Ca1 Ca 0.0000 0.0000 0.0000 1
H1 H 0.1507 0.3013 0.6684 1
Ir1 Ir 0.0000 0.0000 0.5000 1
```

Largest 10 diffraction maxima, low angle first, 10 to 80 degrees two-theta:
- 14.84 deg, I = 49.3
- 19.67 deg, I = 100.0
- 24.73 deg, I = 44.2
- 34.41 deg, I = 43.1
- 36.08 deg, I = 52.5
- 37.66 deg, I = 29.0
- 39.95 deg, I = 15.3
- 46.25 deg, I = 27.2
- 50.72 deg, I = 20.4
- 62.73 deg, I = 21.0



Please write out number 1 again, unchanged.
Theoretical PXRD pattern
Compound: RbPbSO4
Radiation: Cu Kα (λ = 1.5418 Å)
Structure: the GGA-PBE geometry in Alexandria

```
data_RbPbSO4
_chemical_formula_sum 'Rb2 Pb2 S2 O8'
_cell_length_a 4.9115
_cell_length_b 5.8041
_cell_length_c 10.6970
_cell_angle_alpha 90.00
_cell_angle_beta 94.57
_cell_angle_gamma 90.00
_symmetry_space_group_name_H-M 'P 1 21/m 1'
_symmetry_Int_Tables_number 11
loop_
_symmetry_equiv_pos_as_xyz
'x,y,z'
'-x,-y,-z'
'-x,y+1/2,-z'
'x,-y+1/2,z'
loop_
_atom_site_label
_atom_site_type_symbol
_atom_site_fract_x
_atom_site_fract_y
_atom_site_fract_z
_atom_site_occupancy
Rb1 Rb 0.1988 0.2500 0.3846 1
Pb1 Pb 0.1103 0.7500 0.0540 1
S1 S 0.3942 0.2500 0.7144 1
O1 O 0.2949 0.0393 0.6484 1
O2 O 0.2953 0.7500 0.2745 1
O3 O 0.3162 0.2500 0.8496 1
```

Largest 10 diffraction maxima, low angle first, 10 to 80 degrees two-theta:
- 19.34 deg, I = 61.5
- 22.65 deg, I = 100.0
- 24.73 deg, I = 70.4
- 25.05 deg, I = 39.7
- 25.70 deg, I = 73.3
- 30.00 deg, I = 68.2
- 30.81 deg, I = 61.7
- 35.93 deg, I = 37.2
- 36.64 deg, I = 40.2
- 37.08 deg, I = 67.6



Q: Which formula does entry 5 have?
A: TaGeRuRh



Please write out number 5 again, unchanged.
Theoretical PXRD pattern
Compound: TaGeRuRh
Radiation: Cu Kα (λ = 1.5418 Å)
Structure: the GGA-PBE geometry in Alexandria

```
data_TaGeRuRh
_chemical_formula_sum 'Ta2 Ge2 Ru2 Rh2'
_cell_length_a 4.0427
_cell_length_b 4.0427
_cell_length_c 7.3707
_cell_angle_alpha 90.00
_cell_angle_beta 90.00
_cell_angle_gamma 90.00
_symmetry_space_group_name_H-M 'I -4 m 2'
_symmetry_Int_Tables_number 119
_symmetry_space_group_name_Hall 'I -4 -2'
loop_
_atom_site_label
_atom_site_type_symbol
_atom_site_fract_x
_atom_site_fract_y
_atom_site_fract_z
_atom_site_occupancy
Ta1 Ta 0.0000 0.0000 0.0000 1
Ge1 Ge 0.0000 0.0000 0.5000 1
Ru1 Ru 0.0000 0.5000 0.7500 1
Rh1 Rh 0.0000 0.5000 0.2500 1
```

Largest 10 diffraction maxima, low angle first, 10 to 80 degrees two-theta:
- 25.12 deg, I = 16.4
- 39.91 deg, I = 100.0
- 43.08 deg, I = 4.1
- 44.84 deg, I = 35.8
- 49.46 deg, I = 13.4
- 52.09 deg, I = 4.8
- 63.93 deg, I = 2.6
- 65.28 deg, I = 11.6
- 68.96 deg, I = 19.6
- 79.33 deg, I = 26.5